This entry pairs a crystal structure of RbGeWO6 with its calculated PXRD pattern. Radiation: λ = 1.5418 Å (Cu Kα). Structure: a PBE+U-relaxed structure.
Intensities are scaled so that the largest is 100.

Crystal structure
```
RbGeWO6
1.0
2.6380 -4.6315 0.0000
2.6380 4.6315 0.0000
-0.0191 0.0000 6.2027
Rb Ge W O
1 1 1 6
Cartesian
0.0000 0.0000 0.0000 Rb
2.6284 1.6804 3.1013 Ge
2.6284 -1.6355 3.1013 W
1.5855 2.7741 4.2087 O
2.1140 0.0514 4.0500 O
3.6713 2.7741 1.9940 O
3.1428 0.0514 2.1527 O
1.5708 -2.7505 4.2325 O
3.6860 -2.7505 1.9702 O
```

Peak list (10 most intense, 2θ = 10–90°, sorted by position)
2θ/deg  d (Å)  Rel. int.
14.28  6.203  77
19.36  4.584  16
23.98  3.711  66
24.14  3.687  100
28.79  3.101  24
33.63  2.665  34
33.98  2.638  17
42.02  2.150  24
44.83  2.022  46
54.54  1.683  18